# RbAlReO6
Calculated XRD peak list, CuKα. Input: a PBE-relaxed structure.
Intensities are scaled so that the largest is 1000.

Peak list (12 most intense, 15 to 90 degrees two-theta, low angle first)
2theta, I/Imax
19.38, 152
19.74, 293
24.18, 572
24.47, 1000
28.89, 170
34.11, 239
35.23, 130
42.78, 205
45.29, 329
45.79, 179
48.60, 126
55.23, 142

Atomic structure:
abc: 5.259 5.259 6.182
angles: 90.02 90.02 121.19
Sites, in units of the cell vectors:
Rb (0.000, 0.000, 0.000)
Al (0.319, 0.681, 0.500)
Re (0.676, 0.324, 0.500)
O (0.392, 0.401, 0.354)
O (0.408, 0.008, 0.677)
O (0.593, 0.011, 0.316)
O (0.599, 0.608, 0.646)
O (0.989, 0.407, 0.684)
O (0.992, 0.592, 0.323)